For Cs2AgPbCl6, a structure optimized by DFT (GGA-PBE) gives the calculated powder XRD pattern in this record (Cu Kα).

The 10 most intense peaks (15 to 90 degrees two-theta), by angle:
hkl, 2θ/deg, intensity
1 1 0, 23.29, 100
0 2 4, 33.17, 51
3 0 0, 40.92, 47
2 2 0, 47.61, 35
1 3 4, 53.65, 22
4 0 4, 59.25, 12
3 2 4, 64.54, 25
3 3 0, 74.52, 12
2 4 4, 79.31, 15
4 2 8, 88.69, 9

Crystal structure
```
data_Cs2AgPbCl6
_cell_length_a 7.6376
_cell_length_b 7.6376
_cell_length_c 18.7276
_cell_angle_alpha 90.00
_cell_angle_beta 90.00
_cell_angle_gamma 120.00
_space_group_name_H-M_alt 'R -3'
_space_group_IT_number 148
_space_group_name_Hall '-R 3'
loop_
_atom_site_label
_atom_site_type_symbol
_atom_site_fract_x
_atom_site_fract_y
_atom_site_fract_z
Cs1 Cs 0.0000 0.0000 0.2499
Ag1 Ag 0.0000 0.0000 0.0000
Pb1 Pb 0.0000 0.0000 0.5000
Cl1 Cl 0.0069 0.5023 0.7481
```